For Nd2ZnCrO6, the PBE+U geometry in Alexandria gives the calculated powder diffraction line list in this record (Cu Kα X-rays).

Principal peaks in the range 10 to 90 degrees two-theta, by angle:
two_theta	I/Imax	index
22.49	26	1 1 -1
31.40	40	0 2 0
32.19	100	1 1 1
32.43	99	1 1 -3
32.61	50	2 0 -2
45.90	42	2 2 -2
46.80	29	0 0 4
52.31	33	1 3 0

Atomic structure:
```
20
Lattice="5.492 0.000 0.000 0.000 5.699 0.000 -5.413 0.000 7.765" Properties=species:S:1:pos:R:3 pbc="T T T"
Nd -0.072 0.338 1.925
Nd -2.779 2.512 5.808
Nd 2.857 3.187 1.957
Nd 0.151 5.361 5.840
Zn -2.707 0.000 3.883
Zn 0.000 2.849 0.000
Cr 2.746 0.000 0.000
Cr 0.039 2.849 3.883
O -4.271 1.121 7.380
O -1.565 1.728 3.497
O -3.696 4.094 7.373
O -0.989 4.454 3.490
O -2.169 0.156 5.912
O 0.537 2.693 2.029
O -0.459 3.006 5.736
O 2.248 5.542 1.853
O 1.068 1.245 4.275
O 3.774 1.605 0.392
O 1.643 3.971 4.268
O 4.350 4.577 0.386
```